This entry pairs a crystal structure of Sr2MgV2Si4O14 with its theoretical X-ray powder pattern. Radiation: Cu Kα (λ = 1.5418 Å). Structure: a DFT-relaxed cell (PBE+U, the Materials Project).
Kinematic intensities with the Lorentz-polarization factor, no thermal factor.

Main lines, by angle (2θ from 10° to 90°):
- (4 0 0), d = 3.682 Å, I = 79.8
- (3 1 -1), d = 3.340 Å, I = 58.9
- (3 1 1), d = 3.226 Å, I = 91.4
- (1 1 -2), d = 3.008 Å, I = 100.0
- (1 1 2), d = 2.951 Å, I = 57.0
- (0 2 0), d = 2.772 Å, I = 65.3
- (3 1 -2), d = 2.644 Å, I = 41.4
- (5 1 0), d = 2.603 Å, I = 41.9
- (0 2 2), d = 2.205 Å, I = 46.9
- (0 0 4), d = 1.819 Å, I = 31.7

Crystal structure
```
data_Sr2MgV2Si4O14
_chemical_formula_sum 'Sr4 Mg2 V4 Si8 O28'
_symmetry_space_group_name_H-M 'C 1 2 1'
_symmetry_Int_Tables_number 5
_symmetry_space_group_name_Hall 'C 2y'
_cell_length_a 14.763
_cell_length_b 5.544
_cell_length_c 7.288
_cell_angle_alpha 90.00
_cell_angle_beta 93.32
_cell_angle_gamma 90.00
loop_
_atom_site_label
_atom_site_type_symbol
_atom_site_fract_x
_atom_site_fract_y
_atom_site_fract_z
Sr1 Sr 0.194 0.000 0.270
Mg1 Mg 0.000 0.124 0.000
V1 V 0.114 0.985 0.735
Si1 Si 0.108 0.495 0.476
Si2 Si 0.111 0.514 0.030
O1 O 0.000 0.498 0.500
O2 O 0.000 0.526 0.000
O3 O 0.010 0.991 0.244
O4 O 0.133 0.242 0.960
O5 O 0.137 0.504 0.256
O6 O 0.154 0.248 0.562
O7 O 0.158 0.734 0.560
O8 O 0.160 0.745 0.944
```

=====

This entry pairs a crystal structure of Li2V3TeO8 with its theoretical X-ray powder pattern. Radiation: Cu Kα (λ = 1.5418 Å). Structure: a DFT-relaxed cell (PBE+U, the Materials Project).
Kinematic intensities with the Lorentz-polarization factor, no thermal factor.

Main lines, by angle (2θ from 10° to 90°):
- (1 -1 1), d = 5.034 Å, I = 92.0
- (0 0 2), d = 4.424 Å, I = 64.7
- (0 2 0), d = 4.339 Å, I = 59.7
- (2 0 0), d = 4.308 Å, I = 58.7
- (2 0 2), d = 3.097 Å, I = 84.4
- (1 1 3), d = 2.660 Å, I = 68.8
- (1 1 -3), d = 2.653 Å, I = 69.6
- (1 3 -1), d = 2.622 Å, I = 67.9
- (-1 3 1), d = 2.615 Å, I = 100.0
- (3 1 -1), d = 2.604 Å, I = 98.3

Crystal structure
```
data_Li2V3TeO8
_chemical_formula_sum 'Li8 V12 Te4 O32'
_symmetry_space_group_name_H-M 'P 1'
_symmetry_Int_Tables_number 1
_symmetry_space_group_name_Hall 'P 1'
_cell_length_a 8.617
_cell_length_b 8.678
_cell_length_c 8.848
_cell_angle_alpha 89.91
_cell_angle_beta 89.71
_cell_angle_gamma 89.77
loop_
_atom_site_label
_atom_site_type_symbol
_atom_site_fract_x
_atom_site_fract_y
_atom_site_fract_z
Li1 Li 0.000 0.000 0.000
Li2 Li 0.002 0.498 0.495
Li3 Li 0.130 0.128 0.625
Li4 Li 0.368 0.864 0.123
Li5 Li 0.498 0.498 0.992
Li6 Li 0.503 0.999 0.500
Li7 Li 0.631 0.365 0.368
Li8 Li 0.864 0.622 0.867
V1 V 0.122 0.633 0.123
V2 V 0.128 0.376 0.856
V3 V 0.139 0.864 0.370
V4 V 0.360 0.130 0.868
V5 V 0.367 0.614 0.357
V6 V 0.374 0.359 0.621
V7 V 0.619 0.861 0.867
V8 V 0.627 0.119 0.136
V9 V 0.637 0.625 0.619
V10 V 0.860 0.362 0.124
V11 V 0.868 0.869 0.638
V12 V 0.878 0.133 0.371
Te1 Te 0.245 0.248 0.248
Te2 Te 0.252 0.743 0.748
Te3 Te 0.747 0.245 0.744
Te4 Te 0.751 0.749 0.245
O1 O 0.068 0.413 0.072
O2 O 0.105 0.857 0.160
O3 O 0.110 0.636 0.881
O4 O 0.113 0.883 0.646
O5 O 0.130 0.638 0.363
O6 O 0.143 0.107 0.387
O7 O 0.148 0.146 0.888
O8 O 0.153 0.383 0.637
O9 O 0.343 0.610 0.135
O10 O 0.348 0.848 0.388
O11 O 0.356 0.884 0.885
O12 O 0.368 0.356 0.862
O13 O 0.382 0.109 0.144
O14 O 0.387 0.355 0.379
O15 O 0.390 0.135 0.657
O16 O 0.419 0.578 0.571
O17 O 0.569 0.081 0.920
O18 O 0.611 0.640 0.837
O19 O 0.612 0.858 0.110
O20 O 0.615 0.609 0.349
O21 O 0.643 0.867 0.627
O22 O 0.644 0.380 0.603
O23 O 0.648 0.346 0.106
O24 O 0.657 0.107 0.353
O25 O 0.847 0.891 0.846
O26 O 0.853 0.610 0.106
O27 O 0.863 0.657 0.608
O28 O 0.870 0.138 0.130
O29 O 0.882 0.385 0.847
O30 O 0.889 0.138 0.611
O31 O 0.889 0.356 0.335
O32 O 0.926 0.911 0.428
```